For K2FeCl5, a cell relaxed with PBE gives the calculated powder diffractogram in this record (CuKα).
Kinematic intensities with the Lorentz-polarization factor, no thermal factor.

Crystal structure
a b c (Å): 12.817 9.281 9.719
angles (deg): 90.00 107.02 90.00
Space group P2_1/c (No. 14)
Symmetry-distinct sites (fractional):
K 0.028 0.128 0.204 (multiplicity 4)
K 0.351 0.134 0.022 (multiplicity 4)
Fe 0.305 0.579 0.013 (multiplicity 4)
Cl 0.106 0.135 0.929 (multiplicity 4)
Cl 0.137 0.624 0.010 (multiplicity 4)
Cl 0.300 0.061 0.324 (multiplicity 4)
Cl 0.392 0.049 0.705 (multiplicity 4)
Cl 0.394 0.720 0.501 (multiplicity 4)

Largest 10 diffraction maxima, sorted by position, 2θ from 10° to 90°:
2θ 17.64, I 55; 2θ 19.10, I 59; 2θ 20.33, I 40; 2θ 21.73, I 97; 2θ 23.51, I 100; 2θ 29.18, I 44; 2θ 29.86, I 37; 2θ 33.76, I 76; 2θ 36.01, I 34; 2θ 38.76, I 58